[1]
This entry pairs a crystal structure of Fe2CuAs with its simulated PXRD pattern. Radiation: Cu Kα. Structure: the PBE geometry in Alexandria.
Lines closer than 0.1° are merged.

Most intense lines, 2θ = 10–90°, sorted by position:
2θ 27.09, 3.291 Å, rel. 2, hkl 1 0 1; 2θ 42.44, 2.130 Å, rel. 100, hkl 1 1 2; 2θ 43.93, 2.061 Å, rel. 1, hkl 1 0 3; 2θ 48.71, 1.869 Å, rel. 16, hkl 0 0 4; 2θ 49.75, 1.833 Å, rel. 31, hkl 2 0 0; 2θ 57.56, 1.601 Å, rel. 1, hkl 2 1 1; 2θ 72.18, 1.309 Å, rel. 19, hkl 2 0 4; 2θ 73.01, 1.296 Å, rel. 9, hkl 2 2 0; 2θ 86.69, 1.123 Å, rel. 11, hkl 1 1 6; 2θ 88.27, 1.107 Å, rel. 22, hkl 3 1 2

```
data_Fe2CuAs
_symmetry_space_group_name_H-M 'I -4 m 2'
_symmetry_Int_Tables_number 119
_symmetry_space_group_name_Hall 'I -4 -2'
_cell_length_a 3.665
_cell_length_b 3.665
_cell_length_c 7.477
_cell_angle_alpha 90.00
_cell_angle_beta 90.00
_cell_angle_gamma 90.00
loop_
_atom_site_label
_atom_site_type_symbol
_atom_site_fract_x
_atom_site_fract_y
_atom_site_fract_z
_atom_site_occupancy
Fe1 Fe 0.000 0.000 0.000 1
Fe2 Fe 0.000 0.500 0.250 1
Cu1 Cu 0.000 0.000 0.500 1
As1 As 0.000 0.500 0.750 1
```


[2]
This entry pairs a crystal structure of Nd3GaP2Pt9 with its simulated PXRD pattern. Radiation: Cu Kα. Structure: the PBE geometry in Alexandria.
Lines closer than 0.1° are merged.

Most intense lines, 2θ = 10–90°, sorted by position:
2θ 10.03, 8.823 Å, rel. 16, hkl 0 0 1; 2θ 30.39, 2.941 Å, rel. 28, hkl 0 0 3; 2θ 34.05, 2.633 Å, rel. 100, hkl 0 2 1; 2θ 38.49, 2.339 Å, rel. 90, hkl 2 0 2; 2θ 45.06, 2.012 Å, rel. 19, hkl 2 0 3; 2θ 53.17, 1.723 Å, rel. 18, hkl 0 2 4; 2θ 57.90, 1.593 Å, rel. 26, hkl 2 2 0; 2θ 62.48, 1.486 Å, rel. 15, hkl 0 2 5; 2θ 66.80, 1.400 Å, rel. 16, hkl 2 2 3; 2θ 71.70, 1.316 Å, rel. 13, hkl 0 4 2

```
data_Nd3GaP2Pt9
_symmetry_space_group_name_H-M 'P -3 m 1'
_symmetry_Int_Tables_number 164
_symmetry_space_group_name_Hall '-P 3 2"'
_cell_length_a 6.3703
_cell_length_b 6.3703
_cell_length_c 8.8231
_cell_angle_alpha 90.00
_cell_angle_beta 90.00
_cell_angle_gamma 120.00
loop_
_atom_site_label
_atom_site_type_symbol
_atom_site_fract_x
_atom_site_fract_y
_atom_site_fract_z
_atom_site_occupancy
Nd1 Nd 0.0000 0.0000 0.0000 1
Nd2 Nd 0.3333 0.6667 0.6824 1
Ga1 Ga 0.0000 0.0000 0.5000 1
P1 P 0.3333 0.6667 0.1788 1
Pt1 Pt 0.0000 0.5000 0.0000 1
Pt2 Pt 0.1470 0.2941 0.2824 1
```